No. 1
Diffraction record for Ce5Sb2N. The PXRD pattern is computed, not measured: it uses a DFT-relaxed cell (PBE, Alexandria) and Cu Kα X-rays.
Intensities are scaled so that the largest is 1000.

Structure:
```
Ce5Sb2N
1.0
0.000 4.802 7.725
2.728 0.000 7.725
2.728 4.802 0.000
Ce Sb N
5 2 1
Direct
0.000 0.000 0.000
0.213 0.554 0.446
0.446 0.787 0.213
0.554 0.213 0.787
0.787 0.446 0.554
0.196 0.196 0.804
0.804 0.804 0.196
0.500 0.500 0.500
```

Peak list (12 most intense, 10° ≤ 2θ ≤ 90°, in order of rising 2θ)
2θ = 23.0°, d 3.863, rel. 186
2θ = 29.7°, d 3.010, rel. 428
2θ = 32.8°, d 2.728, rel. 598
2θ = 33.0°, d 2.718, rel. 1000
2θ = 34.6°, d 2.589, rel. 816
2θ = 36.9°, d 2.433, rel. 313
2θ = 44.8°, d 2.021, rel. 273
2θ = 58.7°, d 1.573, rel. 192
2θ = 59.1°, d 1.563, rel. 208
2θ = 59.8°, d 1.547, rel. 220
2θ = 63.8°, d 1.458, rel. 179
2θ = 67.9°, d 1.381, rel. 141



No. 2
Diffraction record for Ac2TlBiO5. The PXRD pattern is computed, not measured: it uses a DFT-relaxed cell (PBE, Alexandria) and Cu Kα X-rays.
Intensities are scaled so that the largest is 1000.

Structure:
```
Ac2TlBiO5
1.0
7.273 0.000 0.000
0.000 7.273 0.000
0.000 0.000 6.647
Ac Tl Bi O
4 2 2 10
Direct
0.178 0.322 0.000
0.322 0.822 0.000
0.678 0.178 0.000
0.822 0.678 0.000
0.000 0.000 0.500
0.500 0.500 0.500
0.000 0.500 0.500
0.500 0.000 0.500
0.000 0.000 0.000
0.140 0.640 0.236
0.140 0.640 0.764
0.360 0.140 0.236
0.360 0.140 0.764
0.500 0.500 0.000
0.640 0.860 0.236
0.640 0.860 0.764
0.860 0.360 0.236
0.860 0.360 0.764
```

Peak list (12 most intense, 10° ≤ 2θ ≤ 90°, in order of rising 2θ)
2θ = 26.8°, d 3.323, rel. 397
2θ = 27.4°, d 3.253, rel. 157
2θ = 28.0°, d 3.190, rel. 1000
2θ = 30.6°, d 2.922, rel. 339
2θ = 34.9°, d 2.572, rel. 229
2θ = 38.7°, d 2.325, rel. 251
2θ = 44.6°, d 2.034, rel. 232
2θ = 48.1°, d 1.892, rel. 261
2θ = 52.2°, d 1.754, rel. 104
2θ = 53.8°, d 1.705, rel. 114
2θ = 55.3°, d 1.661, rel. 131
2θ = 63.7°, d 1.461, rel. 104